Simulated PXRD pattern of KPO2F2 for a wavelength of 1.5418 Å, from the GGA-PBE geometry in the Materials Project.
Neutral-atom scattering factors, no anomalous dispersion.

Atomic structure:
```
KPO2F2
1.0
8.159 0.000 0.000
0.000 6.288 0.000
0.000 0.000 7.769
K P O F
4 4 8 8
Direct
0.149 0.250 0.145
0.351 0.750 0.645
0.649 0.250 0.355
0.851 0.750 0.855
0.092 0.250 0.692
0.408 0.750 0.192
0.592 0.250 0.808
0.908 0.750 0.308
0.098 0.042 0.783
0.098 0.458 0.783
0.402 0.542 0.283
0.402 0.958 0.283
0.598 0.042 0.717
0.598 0.458 0.717
0.902 0.542 0.217
0.902 0.958 0.217
0.062 0.750 0.436
0.230 0.250 0.546
0.270 0.750 0.046
0.438 0.250 0.936
0.562 0.750 0.064
0.730 0.250 0.954
0.770 0.750 0.454
0.938 0.250 0.564
```

Top 10 peaks for 2θ from 10° to 90°, low angle first:
d (Å)	2theta	intensity	index
4.888	18.15	23	0 1 1
3.507	25.39	39	1 0 2
3.422	26.04	100	2 1 0
3.144	28.39	60	0 2 0
3.063	29.15	91	1 1 2
2.568	34.94	42	2 1 2
2.374	37.90	35	2 2 1
2.341	38.45	43	1 2 2
2.186	41.29	22	2 0 3
1.799	50.75	27	1 3 2